No. 1
# CaMg14Sb
Simulated powder XRD pattern, a wavelength of 1.5418 Å. Input: a GGA-PBE-relaxed structure.
Peak positions follow from Bragg's law for the DFT cell and can differ from measured ones.

The 8 most intense peaks (2θ from 15° to 90°), in order of falling intensity:
d/Å  2theta  I_rel  hkl
2.453  36.63  100  2 2 2
2.513  35.73  52  2 0 4
2.625  34.16  39  4 0 0
2.775  32.26  30  0 2 2
1.388  67.49  23  4 2 6
1.480  62.77  21  6 2 2
1.635  56.26  19  0 2 6
5.025  17.65  18  1 0 2

Cell and atoms:
```
data_CaMg14Sb
_cell_length_a 10.499
_cell_length_b 6.346
_cell_length_c 11.447
_cell_angle_alpha 90.00
_cell_angle_beta 90.00
_cell_angle_gamma 90.00
_symmetry_space_group_name_H-M 'A m m 2'
_symmetry_Int_Tables_number 38
loop_
_symmetry_equiv_pos_as_xyz
'x,y,z'
'-x,-y,z'
'-x,y,z'
'x,-y,z'
'x,y+1/2,z+1/2'
'-x,-y+1/2,z+1/2'
'-x,y+1/2,z+1/2'
'x,-y+1/2,z+1/2'
loop_
_atom_site_label
_atom_site_type_symbol
_atom_site_fract_x
_atom_site_fract_y
_atom_site_fract_z
_atom_site_occupancy
Ca1 Ca 0.000 0.000 0.000 1
Mg1 Mg 0.000 0.246 0.250 1
Mg2 Mg 0.249 0.000 0.666 1
Mg3 Mg 0.259 0.000 0.167 1
Mg4 Mg 0.261 0.249 0.412 1
Mg5 Mg 0.500 0.000 0.500 1
Mg6 Mg 0.500 0.000 0.999 1
Mg7 Mg 0.500 0.248 0.748 1
Sb1 Sb 0.000 0.000 0.492 1
```

---

No. 2
# PbSO4
Simulated powder XRD pattern, a wavelength of 1.5418 Å. Input: a GGA-PBE-relaxed structure.
Peak positions follow from Bragg's law for the DFT cell and can differ from measured ones.

The 8 most intense peaks (2θ from 15° to 90°), in order of falling intensity:
d/Å  2theta  I_rel  hkl
3.693  24.10  100  1 1 1
3.854  23.08  95  0 1 1
5.111  17.35  87  1 0 1
4.113  21.61  80  2 1 0
2.142  42.20  64  3 1 2
3.223  27.68  61  4 0 0
2.869  31.17  55  3 1 1
2.472  36.34  49  4 1 1

Cell and atoms:
```
data_PbSO4
_cell_length_a 12.891
_cell_length_b 5.342
_cell_length_c 5.567
_cell_angle_alpha 90.00
_cell_angle_beta 90.00
_cell_angle_gamma 90.00
_symmetry_space_group_name_H-M 'P n m a'
_symmetry_Int_Tables_number 62
loop_
_symmetry_equiv_pos_as_xyz
'x,y,z'
'-x,-y,-z'
'-x+1/2,-y,z+1/2'
'x+1/2,y,-z+1/2'
'x+1/2,-y+1/2,-z+1/2'
'-x+1/2,y+1/2,z+1/2'
'-x,y+1/2,-z'
'x,-y+1/2,z'
loop_
_atom_site_label
_atom_site_type_symbol
_atom_site_fract_x
_atom_site_fract_y
_atom_site_fract_z
_atom_site_occupancy
Pb1 Pb 0.127 0.250 0.095 1
S1 S 0.121 0.750 0.728 1
O1 O 0.053 0.523 0.764 1
O2 O 0.168 0.750 0.487 1
O3 O 0.204 0.750 0.917 1
```

---

No. 3
# LiCuPO4
Simulated powder XRD pattern, a wavelength of 1.5418 Å. Input: a GGA-PBE-relaxed structure.
Peak positions follow from Bragg's law for the DFT cell and can differ from measured ones.

The 8 most intense peaks (2θ from 15° to 90°), in order of falling intensity:
d/Å  2theta  I_rel  hkl
3.677  24.20  100  1 1 -1
5.367  16.52  46  0 1 0
3.060  29.18  32  0 0 2
2.524  35.57  31  2 0 -2
2.658  33.72  28  0 1 2
2.684  33.39  18  0 2 0
1.545  59.89  15  0 3 2
2.362  38.10  13  1 1 1

Cell and atoms:
```
data_LiCuPO4
_cell_length_a 5.048
_cell_length_b 5.367
_cell_length_c 7.888
_cell_angle_alpha 90.00
_cell_angle_beta 129.12
_cell_angle_gamma 90.00
_symmetry_space_group_name_H-M 'P 1 c 1'
_symmetry_Int_Tables_number 7
loop_
_symmetry_equiv_pos_as_xyz
'x,y,z'
'x,-y,z+1/2'
loop_
_atom_site_label
_atom_site_type_symbol
_atom_site_fract_x
_atom_site_fract_y
_atom_site_fract_z
_atom_site_occupancy
Li1 Li 0.000 0.164 0.000 1
Cu1 Cu 0.743 0.318 0.254 1
P1 P 0.257 0.350 0.753 1
O1 O 0.131 0.383 0.236 1
O2 O 0.347 0.216 0.959 1
O3 O 0.580 0.355 0.770 1
O4 O 0.978 0.191 0.548 1
```

---

No. 4
# Li2TlPb
Simulated powder XRD pattern, a wavelength of 1.5418 Å. Input: a GGA-PBE-relaxed structure.
Peak positions follow from Bragg's law for the DFT cell and can differ from measured ones.

The 8 most intense peaks (2θ from 15° to 90°), in order of falling intensity:
d/Å  2theta  I_rel  hkl
3.534  25.20  100  2 0 0
2.499  35.94  90  2 2 0
1.580  58.39  41  4 2 0
1.443  64.60  34  4 2 2
2.040  44.40  30  2 2 2
1.178  81.76  20  6 0 0
1.767  51.74  16  4 0 0
1.118  87.24  16  6 2 0

Cell and atoms:
```
data_Li2TlPb
_cell_length_a 7.068
_cell_length_b 7.068
_cell_length_c 7.068
_cell_angle_alpha 90.00
_cell_angle_beta 90.00
_cell_angle_gamma 90.00
_symmetry_space_group_name_H-M 'F m -3 m'
_symmetry_Int_Tables_number 225
_symmetry_space_group_name_Hall '-F 4 2 3'
loop_
_atom_site_label
_atom_site_type_symbol
_atom_site_fract_x
_atom_site_fract_y
_atom_site_fract_z
_atom_site_occupancy
Li1 Li 0.250 0.250 0.250 1
Tl1 Tl 0.000 0.000 0.000 1
Pb1 Pb 0.000 0.000 0.500 1
```

---

No. 5
# PrPbAu2
Simulated powder XRD pattern, a wavelength of 1.5418 Å. Input: a GGA-PBE-relaxed structure.
Peak positions follow from Bragg's law for the DFT cell and can differ from measured ones.

The 8 most intense peaks (2θ from 15° to 90°), in order of falling intensity:
d/Å  2theta  I_rel  hkl
2.587  34.68  100  2 2 0
1.493  62.16  38  4 2 2
1.829  49.86  18  4 0 0
1.157  83.59  17  6 2 0
1.293  73.18  12  4 4 0
4.224  21.03  1  1 1 1
2.206  40.91  1  3 1 1
3.658  24.33  1  2 0 0

Cell and atoms:
```
data_PrPbAu2
_cell_length_a 7.316
_cell_length_b 7.316
_cell_length_c 7.316
_cell_angle_alpha 90.00
_cell_angle_beta 90.00
_cell_angle_gamma 90.00
_symmetry_space_group_name_H-M 'F m -3 m'
_symmetry_Int_Tables_number 225
_symmetry_space_group_name_Hall '-F 4 2 3'
loop_
_atom_site_label
_atom_site_type_symbol
_atom_site_fract_x
_atom_site_fract_y
_atom_site_fract_z
_atom_site_occupancy
Pr1 Pr 0.000 0.000 0.000 1
Pb1 Pb 0.000 0.000 0.500 1
Au1 Au 0.250 0.250 0.250 1
```

---

No. 6
# Mg2Rh
Simulated powder XRD pattern, a wavelength of 1.5418 Å. Input: a GGA-PBE-relaxed structure.
Peak positions follow from Bragg's law for the DFT cell and can differ from measured ones.

The 8 most intense peaks (2θ from 15° to 90°), in order of falling intensity:
d/Å  2theta  I_rel  hkl
2.316  38.88  100  1 0 3
4.991  17.77  69  0 0 2
3.070  29.09  52  1 0 1
2.281  39.50  51  1 1 0
1.324  71.24  32  2 1 3
2.075  43.62  27  1 1 2
1.698  54.01  21  1 0 5
1.613  57.10  17  2 0 0

Cell and atoms:
```
data_Mg2Rh
_cell_length_a 3.226
_cell_length_b 3.226
_cell_length_c 9.983
_cell_angle_alpha 90.00
_cell_angle_beta 90.00
_cell_angle_gamma 90.00
_symmetry_space_group_name_H-M 'I 4/m m m'
_symmetry_Int_Tables_number 139
_symmetry_space_group_name_Hall '-I 4 2'
loop_
_atom_site_label
_atom_site_type_symbol
_atom_site_fract_x
_atom_site_fract_y
_atom_site_fract_z
_atom_site_occupancy
Mg1 Mg 0.000 0.000 0.144 1
Rh1 Rh 0.000 0.000 0.500 1
```

---

No. 7
# VSi4Mo
Simulated powder XRD pattern, a wavelength of 1.5418 Å. Input: a GGA-PBE-relaxed structure.
Peak positions follow from Bragg's law for the DFT cell and can differ from measured ones.

The 8 most intense peaks (2θ from 15° to 90°), in order of falling intensity:
d/Å  2theta  I_rel  hkl
2.174  41.54  100  1 2 1
1.877  48.49  62  1 4 1
3.398  26.22  48  1 2 -1
2.149  42.05  36  0 6 0
2.510  35.78  21  1 4 -1
1.322  71.36  19  1 8 1
2.308  39.02  16  2 0 -1
1.126  86.44  12  1 10 1

Cell and atoms:
```
data_VSi4Mo
_cell_length_a 4.614
_cell_length_b 12.894
_cell_length_c 4.620
_cell_angle_alpha 90.00
_cell_angle_beta 119.92
_cell_angle_gamma 90.00
_symmetry_space_group_name_H-M 'P 1 2 1'
_symmetry_Int_Tables_number 3
loop_
_symmetry_equiv_pos_as_xyz
'x,y,z'
'-x,y,-z'
loop_
_atom_site_label
_atom_site_type_symbol
_atom_site_fract_x
_atom_site_fract_y
_atom_site_fract_z
_atom_site_occupancy
V1 V 0.000 0.000 0.000 1
V2 V 0.000 0.498 0.000 1
V3 V 0.500 0.332 0.500 1
Si1 Si 0.172 0.834 0.838 1
Si2 Si 0.177 0.334 0.842 1
Si3 Si 0.334 0.166 0.163 1
Si4 Si 0.335 0.662 0.162 1
Si5 Si 0.340 0.496 0.676 1
Si6 Si 0.341 0.000 0.680 1
Mo1 Mo 0.000 0.167 0.500 1
Mo2 Mo 0.000 0.664 0.500 1
Mo3 Mo 0.500 0.832 0.500 1
```